1.
Theoretical XRD peak list
Compound: ScGa4Ni2
Radiation: Cu Kα X-rays
Structure: a DFT-relaxed cell (GGA-PBE, Alexandria)
Peak positions follow from Bragg's law for the DFT cell and can differ from measured ones.

Most intense lines, 2θ = 10–90°, in order of rising 2θ:
h k l, Position (°2θ), Rel. int.
1 1 2, 36.34, 14
2 1 2, 37.59, 100
5 1 1, 37.89, 58
6 1 0, 39.59, 24
7 0 1, 40.84, 26
8 0 0, 43.91, 14
0 2 0, 44.64, 56
6 1 2, 49.26, 42
2 1 3, 49.84, 18
7 2 1, 62.09, 14
9 1 3, 72.03, 16
12 1 0, 72.61, 13

Atomic structure:
```
data_ScGa4Ni2
_cell_length_a 16.4973
_cell_length_b 4.0600
_cell_length_c 6.3473
_cell_angle_alpha 90.00
_cell_angle_beta 90.00
_cell_angle_gamma 90.00
_symmetry_space_group_name_H-M 'P n m a'
_symmetry_Int_Tables_number 62
loop_
_symmetry_equiv_pos_as_xyz
'x,y,z'
'-x,-y,-z'
'-x+1/2,-y,z+1/2'
'x+1/2,y,-z+1/2'
'x+1/2,-y+1/2,-z+1/2'
'-x+1/2,y+1/2,z+1/2'
'-x,y+1/2,-z'
'x,-y+1/2,z'
loop_
_atom_site_label
_atom_site_type_symbol
_atom_site_fract_x
_atom_site_fract_y
_atom_site_fract_z
Sc1 Sc 0.1417 0.2500 0.0186
Ga1 Ga 0.0343 0.7500 0.8538
Ga2 Ga 0.0693 0.2500 0.4933
Ga3 Ga 0.1859 0.7500 0.3190
Ga4 Ga 0.1930 0.7500 0.7336
Ni1 Ni 0.0394 0.7500 0.2449
Ni2 Ni 0.2154 0.2500 0.5304
```

---

2.
Theoretical XRD peak list
Compound: DySiP2N6
Radiation: Cu Kα X-rays
Structure: a DFT-relaxed cell (GGA-PBE, Alexandria)
Peak positions follow from Bragg's law for the DFT cell and can differ from measured ones.

Most intense lines, 2θ = 10–90°, in order of rising 2θ:
h k l, Position (°2θ), Rel. int.
1 1 0, 13.60, 100
1 1 -1, 18.30, 24
2 0 0, 20.43, 51
1 1 1, 25.75, 39
2 2 -1, 27.17, 100
1 3 0, 29.15, 41
1 3 -1, 31.69, 22
3 1 0, 32.19, 62
1 1 -2, 33.57, 33
0 0 2, 35.66, 23
0 4 0, 36.64, 32
1 3 -2, 42.69, 27

Atomic structure:
```
data_DySiP2N6
_cell_length_a 9.7264
_cell_length_b 9.8219
_cell_length_c 5.6346
_cell_angle_alpha 90.00
_cell_angle_beta 116.65
_cell_angle_gamma 90.00
_symmetry_space_group_name_H-M 'C 1 2/c 1'
_symmetry_Int_Tables_number 15
loop_
_symmetry_equiv_pos_as_xyz
'x,y,z'
'-x,-y,-z'
'-x,y,-z+1/2'
'x,-y,z+1/2'
'x+1/2,y+1/2,z'
'-x+1/2,-y+1/2,-z'
'-x+1/2,y+1/2,-z+1/2'
'x+1/2,-y+1/2,z+1/2'
loop_
_atom_site_label
_atom_site_type_symbol
_atom_site_fract_x
_atom_site_fract_y
_atom_site_fract_z
Dy1 Dy 0.0000 0.1258 0.2500
Si1 Si 0.0000 0.2036 0.7500
P1 P 0.1860 0.4227 0.1432
N1 N 0.0933 0.2809 0.0489
N2 N 0.1255 0.0879 0.7085
N3 N 0.1460 0.4770 0.3844
```

---

3.
Theoretical XRD peak list
Compound: Tb5CePr4
Radiation: Cu Kα X-rays
Structure: a DFT-relaxed cell (GGA-PBE, Alexandria)
Peak positions follow from Bragg's law for the DFT cell and can differ from measured ones.

Most intense lines, 2θ = 10–90°, in order of rising 2θ:
h k l, Position (°2θ), Rel. int.
2 0 1, 28.39, 48
1 2 1, 29.62, 56
0 1 -2, 29.73, 69
2 0 0, 29.96, 38
-1 1 2, 30.57, 72
1 1 3, 30.98, 100
1 -2 0, 31.42, 97
1 2 0, 32.43, 33
2 1 0, 33.66, 23
2 -1 3, 43.25, 34
0 3 3, 46.13, 30
1 0 5, 54.39, 23

Atomic structure:
```
data_Tb5CePr4
_cell_length_a 6.3096
_cell_length_b 6.6676
_cell_length_c 8.8602
_cell_angle_alpha 72.41
_cell_angle_beta 71.09
_cell_angle_gamma 86.30
_symmetry_space_group_name_H-M 'P -1'
_symmetry_Int_Tables_number 2
loop_
_symmetry_equiv_pos_as_xyz
'x,y,z'
'-x,-y,-z'
loop_
_atom_site_label
_atom_site_type_symbol
_atom_site_fract_x
_atom_site_fract_y
_atom_site_fract_z
Tb1 Tb 0.0000 0.0000 0.0000
Tb2 Tb 0.0397 0.5454 0.8056
Tb3 Tb 0.2033 0.0471 0.5745
Ce1 Ce 0.0000 0.5000 0.5000
Pr1 Pr 0.4504 0.6936 0.3095
Pr2 Pr 0.4838 0.2427 0.1399
```

---

4.
Theoretical XRD peak list
Compound: Ac2Pm2Sm3
Radiation: Cu Kα X-rays
Structure: a DFT-relaxed cell (GGA-PBE, Alexandria)
Peak positions follow from Bragg's law for the DFT cell and can differ from measured ones.

Most intense lines, 2θ = 10–90°, in order of rising 2θ:
h k l, Position (°2θ), Rel. int.
0 1 0, 24.65, 21
0 1 2, 28.70, 17
1 1 0, 29.27, 35
1 0 3, 29.75, 100
2 0 -1, 30.47, 50
1 1 -2, 31.08, 40
0 1 3, 33.13, 22
1 1 3, 39.01, 25
2 1 -4, 45.63, 18
3 0 2, 53.70, 19
1 2 3, 59.76, 28
2 2 -1, 60.18, 15

Atomic structure:
```
data_Ac2Pm2Sm3
_cell_length_a 5.8669
_cell_length_b 3.6114
_cell_length_c 12.5803
_cell_angle_alpha 90.00
_cell_angle_beta 103.42
_cell_angle_gamma 90.00
_symmetry_space_group_name_H-M 'P 1 2/m 1'
_symmetry_Int_Tables_number 10
loop_
_symmetry_equiv_pos_as_xyz
'x,y,z'
'-x,-y,-z'
'-x,y,-z'
'x,-y,z'
loop_
_atom_site_label
_atom_site_type_symbol
_atom_site_fract_x
_atom_site_fract_y
_atom_site_fract_z
Ac1 Ac 0.0775 0.0000 0.1554
Pm1 Pm 0.3527 0.5000 0.7042
Sm1 Sm 0.2191 0.0000 0.4386
Sm2 Sm 0.5000 0.0000 0.0000
```